Record 1
For TaZn2WO6, a DFT-relaxed cell (PBE+U, Alexandria) gives the computed powder XRD pattern in this record (a wavelength of 1.5418 Å).
Kinematic intensities with the Lorentz-polarization factor, no thermal factor.

Main lines, most intense first (5° ≤ 2θ ≤ 70°):
d 2.882, intensity 100.0; d 4.089, intensity 61.3; d 2.823, intensity 29.5; d 4.064, intensity 25.8; d 2.044, intensity 23.1; d 2.965, intensity 21.9; d 1.826, intensity 21.5; d 1.641, intensity 20.3; d 1.820, intensity 18.1; d 1.865, intensity 16.8

Structural model:
```
10
Lattice="-2.8227 4.0640 2.9646 2.8227 -4.0640 2.9646 2.8227 4.0640 -2.9646" Properties=species:S:1:pos:R:3 pbc="T T T"
Ta 0.0000 0.0000 0.0000
Zn 2.8227 2.4225 -0.5498
Zn 0.0000 1.6415 2.4148
W 0.0000 4.0640 0.2086
O 0.0000 1.9503 0.3665
O 1.5420 4.0640 -1.0900
O 1.2807 0.0000 1.8747
O -1.3783 4.0640 1.7737
O 1.3783 4.0640 1.7737
O 0.0000 6.1778 0.3665
```

Record 2
For LiCo5O7F, a DFT-relaxed cell (PBE+U, Alexandria) gives the computed powder XRD pattern in this record (a wavelength of 1.5418 Å).
Kinematic intensities with the Lorentz-polarization factor, no thermal factor.

Main lines, most intense first (5° ≤ 2θ ≤ 70°):
d 4.775, intensity 100.0; d 2.504, intensity 88.0; d 2.485, intensity 60.1; d 4.689, intensity 58.7; d 2.466, intensity 58.0; d 4.807, intensity 56.5; d 1.444, intensity 51.6; d 2.080, intensity 49.9; d 2.064, intensity 49.8; d 2.478, intensity 48.9

Structural model:
```
28
Lattice="5.7757 0.0000 0.0000 -2.8647 5.0524 0.0000 -2.6416 -1.7365 9.6132" Properties=species:S:1:pos:R:3 pbc="T T T"
Li 0.0000 0.0000 0.0000
Li -2.7659 1.7266 4.8856
Co -1.4206 -0.7250 6.7258
Co -1.5423 2.6946 1.9306
Co -2.8584 1.8000 8.5153
Co -0.1522 0.2037 3.7736
Co 0.0841 0.0508 9.0865
Co 2.7502 0.1220 1.9328
Co -0.1060 3.5660 4.3228
Co 0.0203 1.7738 6.7285
Co 1.3709 2.6210 1.8858
Co 1.4977 -0.7607 6.7071
O -1.5405 4.3320 3.0737
O -1.3147 0.8766 7.7381
O 0.0284 -1.4002 7.8236
O -0.0970 2.0477 3.0689
O -0.0805 3.4876 0.9016
O 0.0218 0.1103 5.7335
O 1.5769 0.9189 0.6723
O -1.2079 2.7035 5.5986
O 1.3199 0.8480 7.8408
O 1.1652 4.3529 3.1119
O 2.8154 3.2118 0.7358
O 0.0642 3.4488 7.6724
O 2.8133 1.8094 2.8673
O 2.9398 -0.1102 5.6078
F 1.4940 2.6263 5.6628
F 4.3327 0.9289 0.7085
```

Record 3
For HoHfFe2O6, a DFT-relaxed cell (PBE+U, Alexandria) gives the computed powder XRD pattern in this record (a wavelength of 1.5418 Å).
Kinematic intensities with the Lorentz-polarization factor, no thermal factor.

Main lines, most intense first (5° ≤ 2θ ≤ 70°):
d 2.720, intensity 100.0; d 2.864, intensity 38.1; d 2.849, intensity 37.5; d 2.840, intensity 37.3; d 3.935, intensity 29.7; d 3.957, intensity 29.4; d 3.917, intensity 29.2; d 1.590, intensity 21.2; d 1.569, intensity 20.3; d 1.789, intensity 16.8

Structural model:
```
10
Lattice="5.4316 0.0000 0.0000 2.7138 4.7180 0.0000 0.0275 3.1016 4.7750" Properties=species:S:1:pos:R:3 pbc="T T T"
Ho 0.0000 0.0000 0.0000
Hf 2.7278 1.5420 2.3426
Fe 2.7392 4.6799 4.1304
Fe 5.4406 3.1397 1.6765
O 1.8802 2.8783 0.8739
O 3.5782 6.2692 3.2364
O 4.7331 4.9339 0.8316
O 3.7094 3.1624 3.2066
O 4.2483 1.6485 0.8487
O 6.3644 4.6320 3.2272
```